Starting from the PBE geometry in the Materials Project, the powder XRD pattern of Co2RhS4 was calculated for CuKα.
Lines closer than 0.1° are merged.

Structural model:
```
Co2RhS4
1.0
-3.353 3.382 4.766
3.353 -3.382 4.766
3.353 3.382 -4.766
Co Rh S
4 2 8
Direct
0.000 0.000 0.500 Co
0.000 0.500 0.000 Co
0.376 0.126 0.250 Co
0.624 0.874 0.750 Co
0.000 0.500 0.500 Rh
0.500 0.500 0.000 Rh
0.233 0.249 0.984 S
0.234 0.751 0.484 S
0.240 0.242 0.502 S
0.240 0.738 0.998 S
0.760 0.262 0.002 S
0.760 0.758 0.498 S
0.766 0.249 0.516 S
0.767 0.751 0.016 S
```

Principal peaks in the range 2θ from 10° to 90°, sorted by position:
two_theta  d [Å]  Rel. int.
16.1  5.491  31
26.5  3.369  15
31.1  2.876  100
31.2  2.865  28
37.8  2.382  62
49.8  1.830  23
54.2  1.691  16
54.5  1.684  62
54.8  1.677  16
80.7  1.191  14

Starting from the PBE geometry in the Materials Project, the powder XRD pattern of HgBi2O6 was calculated for CuKα.
Lines closer than 0.1° are merged.

Structural model:
```
HgBi2O6
1.0
5.083 0.000 0.000
0.000 5.083 0.000
0.000 0.000 10.501
Hg Bi O
2 4 12
Direct
0.000 0.000 0.000 Hg
0.500 0.500 0.500 Hg
0.000 0.000 0.332 Bi
0.000 0.000 0.668 Bi
0.500 0.500 0.168 Bi
0.500 0.500 0.832 Bi
0.185 0.185 0.500 O
0.199 0.199 0.176 O
0.199 0.199 0.824 O
0.301 0.699 0.324 O
0.301 0.699 0.676 O
0.315 0.685 0.000 O
0.685 0.315 0.000 O
0.699 0.301 0.324 O
0.699 0.301 0.676 O
0.801 0.801 0.176 O
0.801 0.801 0.824 O
0.815 0.815 0.500 O
```

Principal peaks in the range 2θ from 10° to 90°, sorted by position:
two_theta  d [Å]  Rel. int.
24.8  3.594  100
31.0  2.883  98
35.3  2.542  30
47.7  1.907  74
50.8  1.797  17
57.3  1.607  19
58.7  1.574  19
60.7  1.525  21
72.2  1.308  18
83.1  1.163  15